Diffraction record for TiNb2Te4Se2. The powder X-ray diffraction pattern is calculated, not measured: it uses the GGA-PBE geometry in Alexandria and Cu Kα (λ = 1.5418 Å).
Peak positions follow from Bragg's law for the DFT cell and can differ from measured ones.

Atomic structure:
Unit cell a=3.616 b=3.616 c=22.006 alpha=90.00 beta=90.00 gamma=120.00
Fractional positions:
Ti (0.000, 0.000, 0.000)
Nb (0.000, 0.000, 0.651)
Nb (0.667, 0.333, 0.316)
Te (0.000, 0.000, 0.230)
Te (0.000, 0.000, 0.401)
Te (0.667, 0.333, 0.566)
Te (0.667, 0.333, 0.737)
Se (0.667, 0.333, 0.073)
Se (0.667, 0.333, 0.928)

The 8 most intense peaks (5° ≤ 2θ ≤ 70°), low angle first:
(hkl), Position (°2θ), I (rel.)
0 0 3, 12.07, 48.5
1 0 0, 28.50, 62.1
1 0 1, 28.79, 21.9
1 0 4, 32.91, 44.2
0 1 5, 35.17, 100.0
0 1 7, 40.66, 30.4
1 0 8, 43.80, 31.8
1 1 0, 50.47, 47.3